No. 1
Starting from a crystal structure in Alexandria, relaxed with GGA-PBE, the powder XRD pattern of ZrCrSi2 was computed for a wavelength of 1.5418 Å.
Lines closer than 0.1° are merged.

Most intense lines, 5° ≤ 2θ ≤ 70°, in order of rising 2θ:
| (hkl) | 2θ/deg | Rel. int. |
| --- | --- | --- |
| 0 0 2 | 22.18 | 25 |
| 1 2 2 | 30.42 | 29 |
| 1 4 0 | 37.99 | 45 |
| 3 1 2 | 38.25 | 100 |
| 3 3 0 | 40.53 | 92 |
| 2 3 2 | 40.73 | 73 |
| 0 4 2 | 43.25 | 40 |
| 0 0 4 | 45.25 | 38 |

Structural model:
Cell: 9.129 9.810 8.016 Å, 90.00 90.00 90.00°
Space group Pbam (No. 55)
Asymmetric unit:
Zr  0.170  0.180  0.000
Zr  0.172  0.452  0.247
Cr  0.000  0.000  0.245
Cr  0.079  0.754  0.249
Si  0.039  0.621  0.000
Si  0.041  0.625  0.500
Si  0.109  0.901  0.500
Si  0.124  0.896  0.000
Si  0.171  0.181  0.351

***

No. 2
Starting from a crystal structure in Alexandria, relaxed with GGA-PBE, the powder XRD pattern of Sm4Cr was computed for a wavelength of 1.5418 Å.
Lines closer than 0.1° are merged.

Most intense lines, 5° ≤ 2θ ≤ 70°, in order of rising 2θ:
| (hkl) | 2θ/deg | Rel. int. |
| --- | --- | --- |
| 1 0 0 | 16.45 | 3 |
| 1 1 0 | 23.35 | 3 |
| 1 1 1 | 28.70 | 100 |
| 2 0 0 | 33.26 | 74 |
| 2 2 0 | 47.74 | 53 |
| 3 1 1 | 56.66 | 45 |
| 2 2 2 | 59.43 | 18 |
| 4 0 0 | 69.83 | 8 |

Structural model:
Cell: 5.388 5.388 5.388 Å, 90.00 90.00 90.00°
Space group Pm-3m (No. 221)
Asymmetric unit:
Sm  0.000  0.000  0.000
Sm  0.000  0.500  0.500
Cr  0.500  0.500  0.500

***

No. 3
Starting from a crystal structure in Alexandria, relaxed with GGA-PBE, the powder XRD pattern of CrSn was computed for a wavelength of 1.5418 Å.
Lines closer than 0.1° are merged.

Most intense lines, 5° ≤ 2θ ≤ 70°, in order of rising 2θ:
| (hkl) | 2θ/deg | Rel. int. |
| --- | --- | --- |
| 0 0 4 | 23.25 | 9 |
| 1 0 1 | 29.82 | 41 |
| 0 0 6 | 35.19 | 11 |
| 1 1 0 | 41.79 | 100 |
| 1 1 4 | 48.39 | 6 |
| 1 1 6 | 55.77 | 12 |
| 2 0 0 | 60.62 | 11 |
| 2 1 1 | 69.02 | 8 |

Structural model:
Cell: 3.055 3.055 15.303 Å, 90.00 90.00 90.00°
Space group I4/mmm (No. 139)
Asymmetric unit:
Cr  0.000  0.000  0.210
Sn  0.000  0.000  0.404